The following is a computed PXRD pattern of NpVH. It was derived from a structure optimized by DFT (GGA-PBE), using Cu Kα (weighted mean of Kα1 and Kα2).
Peak positions follow from Bragg's law for the DFT cell and can differ from measured ones.

Most intense lines, 2θ from 10° to 90°, most intense first:
(hkl)  2θ (°)  I_rel
1 0 1  36.12  100
1 0 2  39.21  65
0 0 4  34.50  53
1 0 3  43.96  47
1 1 4  62.51  43
1 1 0  50.39  38
0 0 3  25.70  33
1 0 5  57.05  31
2 0 4  84.31  25
2 1 1  85.24  18

Crystal structure
abc: 2.5613 2.5613 10.3975
angles: 90.00 90.00 90.00
Space group P4/nmm (No. 129, origin choice 2)
Asymmetric unit:
1 Np 0.2500 0.2500 0.1314 x2
2 V 0.2500 0.2500 0.3835 x2
3 H 0.2500 0.2500 0.5707 x2